Entry 1:
Theoretical powder XRD pattern
Compound: Sr2TaMnO6
Radiation: Cu Kα X-rays
Structure: a PBE+U-relaxed structure

Peak list (6 most intense, 10° ≤ 2θ ≤ 90°, sorted by position)
| Position (°2θ) | I_rel |
| --- | --- |
| 19.12 | 23 |
| 31.48 | 100 |
| 45.11 | 33 |
| 56.04 | 40 |
| 65.70 | 20 |
| 74.67 | 17 |

```
data_Sr2TaMnO6
_cell_length_a 5.685
_cell_length_b 5.685
_cell_length_c 5.685
_cell_angle_alpha 60.00
_cell_angle_beta 60.00
_cell_angle_gamma 60.00
_symmetry_space_group_name_H-M 'P 1'
_symmetry_Int_Tables_number 1
loop_
_symmetry_equiv_pos_as_xyz
'x,y,z'
loop_
_atom_site_label
_atom_site_fract_x
_atom_site_fract_y
_atom_site_fract_z
Sr1 0.250 0.250 0.250
Sr2 0.750 0.750 0.750
Ta1 0.000 0.000 0.000
Mn1 0.500 0.500 0.500
O1 0.247 0.247 0.753
O2 0.247 0.753 0.247
O3 0.247 0.753 0.753
O4 0.753 0.247 0.247
O5 0.753 0.247 0.753
O6 0.753 0.753 0.247
```

Entry 2:
Theoretical powder XRD pattern
Compound: Sr2MnTcO6
Radiation: Cu Kα X-rays
Structure: a PBE+U-relaxed structure

Peak list (6 most intense, 10° ≤ 2θ ≤ 90°, sorted by position)
| Position (°2θ) | I_rel |
| --- | --- |
| 31.34 | 100 |
| 31.42 | 100 |
| 44.93 | 42 |
| 45.04 | 22 |
| 55.75 | 23 |
| 55.86 | 36 |

```
data_Sr2MnTcO6
_cell_length_a 5.695
_cell_length_b 5.718
_cell_length_c 9.850
_cell_angle_alpha 90.00
_cell_angle_beta 125.17
_cell_angle_gamma 90.00
_symmetry_space_group_name_H-M 'P 1'
_symmetry_Int_Tables_number 1
loop_
_symmetry_equiv_pos_as_xyz
'x,y,z'
loop_
_atom_site_label
_atom_site_fract_x
_atom_site_fract_y
_atom_site_fract_z
Sr1 0.245 0.030 0.250
Sr2 0.245 0.470 0.750
Sr3 0.755 0.530 0.250
Sr4 0.755 0.970 0.750
Mn1 0.500 0.000 0.000
Mn2 0.500 0.500 0.500
Tc1 0.000 0.000 0.500
Tc2 0.000 0.500 0.000
O1 0.169 0.230 0.966
O2 0.169 0.270 0.466
O3 0.237 0.705 0.968
O4 0.237 0.795 0.468
O5 0.300 0.012 0.737
O6 0.300 0.488 0.237
O7 0.700 0.512 0.763
O8 0.700 0.988 0.263
O9 0.763 0.205 0.532
O10 0.763 0.295 0.032
O11 0.831 0.730 0.534
O12 0.831 0.770 0.034
```